Structure and computed X-ray diffraction stick pattern of AcCo2IrO8 (a cell relaxed with PBE+U; copper Kα).
Lines closer than 0.1° are merged.

Peak list (10 most intense, 2θ = 10–90°, by angle)
| hkl | 2θ (°) | d_spacing | intensity |
| --- | --- | --- | --- |
| 0 1 0 | 19.78 | 4.489 | 45 |
| 1 0 0 | 19.96 | 4.448 | 42 |
| 0 0 2 | 23.94 | 3.717 | 41 |
| 1 -1 0 | 27.76 | 3.214 | 100 |
| 1 1 0 | 28.73 | 3.108 | 78 |
| 0 1 -2 | 30.84 | 2.899 | 49 |
| 1 0 -2 | 31.16 | 2.870 | 41 |
| 1 0 2 | 31.56 | 2.835 | 45 |
| 0 1 2 | 31.64 | 2.828 | 42 |
| 1 1 -2 | 37.20 | 2.417 | 32 |

Crystal structure
```
data_AcCo2IrO8
_chemical_formula_sum 'Ac1 Co2 Ir1 O8'
_space_group_name_H-M_alt 'P -1'
_space_group_IT_number 2
_cell_length_a 4.450
_cell_length_b 4.493
_cell_length_c 7.438
_cell_angle_alpha 91.42
_cell_angle_beta 90.68
_cell_angle_gamma 91.91
loop_
_space_group_symop_operation_xyz
'x,y,z'
'-x,-y,-z'
loop_
_atom_site_label
_atom_site_type_symbol
_atom_site_fract_x
_atom_site_fract_y
_atom_site_fract_z
_atom_site_occupancy
Ac1 Ac 0.000 0.000 0.000 1
Co1 Co 0.496 0.497 0.306 1
Ir1 Ir 0.000 0.000 0.500 1
O1 O 0.193 0.209 0.294 1
O2 O 0.209 0.208 0.713 1
O3 O 0.299 0.709 0.499 1
O4 O 0.432 0.628 0.955 1
```